For Sc4Sb, a DFT-relaxed cell (GGA-PBE, Alexandria) gives the simulated powder XRD pattern in this record (Cu Ka).
Neutral-atom scattering factors, no anomalous dispersion.

Structural model:
```
data_Sc4Sb
_cell_length_a 3.409
_cell_length_b 6.250
_cell_length_c 22.492
_cell_angle_alpha 90.00
_cell_angle_beta 90.00
_cell_angle_gamma 90.00
_symmetry_space_group_name_H-M 'I m m a'
_symmetry_Int_Tables_number 74
_symmetry_space_group_name_Hall '-I 2b 2'
loop_
_atom_site_label
_atom_site_type_symbol
_atom_site_fract_x
_atom_site_fract_y
_atom_site_fract_z
_atom_site_occupancy
Sc1 Sc 0.000 0.000 0.000 1
Sc2 Sc 0.000 0.003 0.191 1
Sc3 Sc 0.000 0.250 0.600 1
Sb1 Sb 0.000 0.250 0.404 1
```

Peak list (6 most intense, 5° ≤ 2θ ≤ 70°, sorted by position)
2θ = 32.79°, I = 37.2; 2θ = 32.97°, I = 100.0; 2θ = 37.47°, I = 47.1; 2θ = 39.32°, I = 62.8; 2θ = 40.09°, I = 25.9; 2θ = 60.55°, I = 25.5

---

For Sc8SbSe6, a DFT-relaxed cell (GGA-PBE, Alexandria) gives the simulated powder XRD pattern in this record (Cu Ka).
Neutral-atom scattering factors, no anomalous dispersion.

Structural model:
```
data_Sc8SbSe6
_cell_length_a 10.0106
_cell_length_b 10.0106
_cell_length_c 3.8044
_cell_angle_alpha 90.00
_cell_angle_beta 90.00
_cell_angle_gamma 120.00
_symmetry_space_group_name_H-M 'P -3'
_symmetry_Int_Tables_number 147
_symmetry_space_group_name_Hall '-P 3'
loop_
_atom_site_label
_atom_site_type_symbol
_atom_site_fract_x
_atom_site_fract_y
_atom_site_fract_z
_atom_site_occupancy
Sc1 Sc 0.0316 0.3098 0.2432 1
Sc2 Sc 0.3333 0.6667 0.7549 1
Sb1 Sb 0.0000 0.0000 0.0000 1
Se1 Se 0.1312 0.6573 0.2531 1
```

Peak list (6 most intense, 5° ≤ 2θ ≤ 70°, sorted by position)
2θ = 25.57°, I = 36.2; 2θ = 27.22°, I = 49.8; 2θ = 31.28°, I = 27.6; 2θ = 36.18°, I = 100.0; 2θ = 37.40°, I = 39.6; 2θ = 43.27°, I = 52.8

---

For ScSbSe, a DFT-relaxed cell (GGA-PBE, Alexandria) gives the simulated powder XRD pattern in this record (Cu Ka).
Neutral-atom scattering factors, no anomalous dispersion.

Structural model:
```
data_ScSbSe
_cell_length_a 3.546
_cell_length_b 3.546
_cell_length_c 10.962
_cell_angle_alpha 90.00
_cell_angle_beta 90.00
_cell_angle_gamma 90.00
_symmetry_space_group_name_H-M 'I 4 m m'
_symmetry_Int_Tables_number 107
_symmetry_space_group_name_Hall 'I 4 -2'
loop_
_atom_site_label
_atom_site_type_symbol
_atom_site_fract_x
_atom_site_fract_y
_atom_site_fract_z
_atom_site_occupancy
Sc1 Sc 0.000 0.000 0.000 1
Sb1 Sb 0.000 0.000 0.687 1
Se1 Se 0.000 0.000 0.403 1
```

Peak list (6 most intense, 5° ≤ 2θ ≤ 70°, sorted by position)
2θ = 26.42°, I = 40.8; 2θ = 35.27°, I = 100.0; 2θ = 35.82°, I = 62.5; 2θ = 49.26°, I = 25.1; 2θ = 51.55°, I = 21.3; 2θ = 64.01°, I = 33.4